1.
Nd3S2Cl5: simulated PXRD pattern (Cu Ka), based on a DFT-relaxed cell (GGA-PBE, OQMD).
Lines closer than 0.1° are merged.

```
data_Nd3S2Cl5
_chemical_formula_sum 'Nd12 S8 Cl20'
_cell_length_a 21.9626
_cell_length_b 6.6015
_cell_length_c 7.0685
_cell_angle_alpha 90.00
_cell_angle_beta 97.79
_cell_angle_gamma 90.00
_space_group_name_H-M_alt 'P 1'
_space_group_IT_number 1
_space_group_name_Hall 'P 1'
loop_
_atom_site_label
_atom_site_type_symbol
_atom_site_fract_x
_atom_site_fract_y
_atom_site_fract_z
Nd1 Nd 0.0960 0.0451 0.2057
Nd2 Nd 0.0960 0.4549 0.7057
Nd3 Nd 0.2490 0.0439 0.8571
Nd4 Nd 0.2490 0.4561 0.3571
Nd5 Nd 0.4003 0.0439 0.3370
Nd6 Nd 0.4003 0.4561 0.8370
Nd7 Nd 0.5997 0.5439 0.1630
Nd8 Nd 0.5997 0.9561 0.6630
Nd9 Nd 0.7510 0.5439 0.6429
Nd10 Nd 0.7510 0.9561 0.1429
Nd11 Nd 0.9040 0.5451 0.2943
Nd12 Nd 0.9040 0.9549 0.7943
S1 S 0.1682 0.1900 0.5331
S2 S 0.1682 0.3100 0.0331
S3 S 0.3262 0.1896 0.5977
S4 S 0.3262 0.3104 0.0977
S5 S 0.6738 0.6896 0.9023
S6 S 0.6738 0.8104 0.4023
S7 S 0.8318 0.6900 0.9669
S8 S 0.8318 0.8100 0.4669
Cl1 Cl 0.0121 0.2280 0.8971
Cl2 Cl 0.0121 0.2720 0.3971
Cl3 Cl 0.1261 0.6697 0.3816
Cl4 Cl 0.1261 0.8303 0.8816
Cl5 Cl 0.2545 0.6380 0.7251
Cl6 Cl 0.2545 0.8620 0.2251
Cl7 Cl 0.3808 0.6533 0.4786
Cl8 Cl 0.3808 0.8467 0.9786
Cl9 Cl 0.4813 0.1800 0.6579
Cl10 Cl 0.4813 0.3200 0.1579
Cl11 Cl 0.5187 0.6800 0.8421
Cl12 Cl 0.5187 0.8200 0.3421
Cl13 Cl 0.6192 0.1533 0.0214
Cl14 Cl 0.6192 0.3467 0.5214
Cl15 Cl 0.7455 0.1380 0.7749
Cl16 Cl 0.7455 0.3620 0.2749
Cl17 Cl 0.8739 0.1697 0.1184
Cl18 Cl 0.8739 0.3303 0.6184
Cl19 Cl 0.9879 0.7280 0.6029
Cl20 Cl 0.9879 0.7720 0.1029
```

Main lines, by angle (2θ from 15° to 90°):
h k l	2theta	intensity
1 1 -1	18.53	35
3 1 -1	21.21	100
3 1 1	23.14	97
6 0 0	24.54	38
7 1 -1	32.82	26
4 2 -1	33.40	39
6 2 0	36.82	48
1 1 -3	40.67	35

***

2.
NdSe2Cl2: simulated PXRD pattern (Cu Ka), based on a DFT-relaxed cell (GGA-PBE, OQMD).
Lines closer than 0.1° are merged.

```
data_NdSe2Cl2
_chemical_formula_sum 'Nd2 Se4 Cl4'
_cell_length_a 7.3416
_cell_length_b 7.4082
_cell_length_c 7.9563
_cell_angle_alpha 83.60
_cell_angle_beta 62.59
_cell_angle_gamma 73.06
_space_group_name_H-M_alt 'P 1'
_space_group_IT_number 1
_space_group_name_Hall 'P 1'
loop_
_atom_site_label
_atom_site_type_symbol
_atom_site_fract_x
_atom_site_fract_y
_atom_site_fract_z
Nd1 Nd 0.1737 0.9999 0.1527
Nd2 Nd 0.8263 0.0001 0.8473
Se1 Se 0.1040 0.7317 0.4926
Se2 Se 0.2693 0.9473 0.4990
Se3 Se 0.7307 0.0527 0.5010
Se4 Se 0.8960 0.2683 0.5074
Cl1 Cl 0.0331 0.7556 0.0272
Cl2 Cl 0.4331 0.2444 0.0403
Cl3 Cl 0.5669 0.7556 0.9597
Cl4 Cl 0.9669 0.2444 0.9728
```

Main lines, by angle (2θ from 15° to 90°):
h k l	2theta	intensity
1 1 0	16.13	77
1 1 1	16.32	72
0 0 2	25.22	69
1 -1 2	27.50	99
-1 1 1	28.09	100
2 -1 0	34.29	86
-1 2 1	37.32	73
4 1 2	49.74	65

***

3.
PrTmGa5: simulated PXRD pattern (Cu Ka), based on a DFT-relaxed cell (GGA-PBE, OQMD).
Lines closer than 0.1° are merged.

```
data_PrTmGa5
_chemical_formula_sum 'Pr1 Tm1 Ga5'
_cell_length_a 4.3214
_cell_length_b 4.3214
_cell_length_c 8.4254
_cell_angle_alpha 90.00
_cell_angle_beta 90.00
_cell_angle_gamma 90.00
_space_group_name_H-M_alt 'P 1'
_space_group_IT_number 1
_space_group_name_Hall 'P 1'
loop_
_atom_site_label
_atom_site_type_symbol
_atom_site_fract_x
_atom_site_fract_y
_atom_site_fract_z
Pr1 Pr 0.0000 0.0000 0.0000
Tm1 Tm 0.0000 0.0000 0.5000
Ga1 Ga 0.0000 0.5000 0.2639
Ga2 Ga 0.0000 0.5000 0.7361
Ga3 Ga 0.5000 0.0000 0.2639
Ga4 Ga 0.5000 0.0000 0.7361
Ga5 Ga 0.5000 0.5000 0.0000
```

Main lines, by angle (2θ from 15° to 90°):
h k l	2theta	intensity
1 0 0	20.55	26
1 0 2	29.61	21
1 1 2	36.32	100
2 0 0	41.81	34
0 0 4	42.94	15
2 2 0	60.61	11
2 0 4	61.48	20
3 1 2	72.75	25

***

4.
MgIr: simulated PXRD pattern (Cu Ka), based on a DFT-relaxed cell (GGA-PBE, OQMD).
Lines closer than 0.1° are merged.

```
data_MgIr
_chemical_formula_sum 'Mg2 Ir2'
_cell_length_a 4.4161
_cell_length_b 3.0743
_cell_length_c 4.4096
_cell_angle_alpha 90.00
_cell_angle_beta 90.00
_cell_angle_gamma 90.00
_space_group_name_H-M_alt 'P 1'
_space_group_IT_number 1
_space_group_name_Hall 'P 1'
loop_
_atom_site_label
_atom_site_type_symbol
_atom_site_fract_x
_atom_site_fract_y
_atom_site_fract_z
Mg1 Mg 0.2500 0.0000 0.2452
Mg2 Mg 0.7500 0.0000 0.7548
Ir1 Ir 0.2500 0.5000 0.7449
Ir2 Ir 0.7500 0.5000 0.2551
```

Main lines, by angle (2θ from 15° to 90°):
h k l	2theta	intensity
1 0 1	28.61	76
0 1 0	29.05	37
2 0 0	40.90	51
1 1 1	41.22	100
2 1 0	50.94	32
2 0 2	59.22	17
3 1 1	74.70	35
2 2 0	75.36	17

***

5.
SrRe2O8: simulated PXRD pattern (Cu Ka), based on a DFT-relaxed cell (GGA-PBE, OQMD).
Lines closer than 0.1° are merged.

```
data_SrRe2O8
_chemical_formula_sum 'Sr1 Re2 O8'
_cell_length_a 6.3796
_cell_length_b 6.3796
_cell_length_c 5.5308
_cell_angle_alpha 90.00
_cell_angle_beta 90.00
_cell_angle_gamma 120.00
_space_group_name_H-M_alt 'P 1'
_space_group_IT_number 1
_space_group_name_Hall 'P 1'
loop_
_atom_site_label
_atom_site_type_symbol
_atom_site_fract_x
_atom_site_fract_y
_atom_site_fract_z
Sr1 Sr 0.0000 0.0000 0.0000
Re1 Re 0.3333 0.6667 0.6541
Re2 Re 0.6667 0.3333 0.3459
O1 O 0.1580 0.3679 0.7566
O2 O 0.2098 0.8420 0.7566
O3 O 0.3333 0.6667 0.3401
O4 O 0.3679 0.2098 0.2434
O5 O 0.6321 0.7902 0.7566
O6 O 0.6667 0.3333 0.6599
O7 O 0.7902 0.1580 0.2434
O8 O 0.8420 0.6321 0.2434
```

Main lines, by angle (2θ from 15° to 90°):
h k l	2theta	intensity
0 0 1	16.04	17
1 0 1	22.75	100
1 1 0	27.97	54
0 1 2	36.34	42
2 0 2	46.48	43
0 0 3	49.48	15
3 -2 2	55.11	15
2 2 0	57.78	26